1.
The following is a calculated X-ray diffraction stick pattern of CaAl4Pd2. It was derived from DFT lattice parameters and positions (PBE), using copper Kα.

Largest 10 diffraction maxima, by angle, 10° ≤ 2θ ≤ 90°:
d_spacing	2θ (°)	I (rel.)	(hkl)
4.310	20.61	36	4 0 0
3.562	25.00	38	1 1 1
3.105	28.76	66	2 0 2
3.061	29.17	61	4 1 0
2.527	35.53	100	2 1 2
2.503	35.87	53	5 1 1
2.310	39.00	36	7 0 1
2.175	41.52	69	0 2 0
1.945	46.71	78	6 1 2
1.926	47.18	37	2 1 3

Cell lengths 17.2385, 4.3494, 6.6561 Å; angles 90.00, 90.00, 90.00 degrees
Space group Pnma (No. 62)
Inequivalent atoms, fractional coordinates:
Ca 0.1395 0.2500 0.0189 [4 per cell]
Al 0.0357 0.7500 0.8360 [4 per cell]
Al 0.0710 0.2500 0.4905 [4 per cell]
Al 0.1864 0.7500 0.3271 [4 per cell]
Al 0.1919 0.7500 0.7290 [4 per cell]
Pd 0.0374 0.7500 0.2469 [4 per cell]
Pd 0.2170 0.2500 0.5308 [4 per cell]

***

2.
The following is a calculated X-ray diffraction stick pattern of Ca2Al6Pd. It was derived from DFT lattice parameters and positions (PBE), using copper Kα.

Largest 10 diffraction maxima, by angle, 10° ≤ 2θ ≤ 90°:
d_spacing	2θ (°)	I (rel.)	(hkl)
6.049	14.64	28	0 0 1
5.056	17.54	57	1 0 0
3.879	22.92	38	1 0 1
2.919	30.63	36	1 1 0
2.629	34.10	100	1 1 1
2.596	34.56	62	1 0 2
2.332	38.60	89	0 2 1
1.940	46.84	30	2 0 2
1.873	48.61	29	1 0 3
1.460	63.77	26	2 2 0

Cell lengths 5.8380, 5.8380, 6.0495 Å; angles 90.00, 90.00, 120.00 degrees
Space group P-3m1 (No. 164)
Inequivalent atoms, fractional coordinates:
Ca 0.3333 0.6667 0.3660 [2 per cell]
Al 0.1707 0.3414 0.8276 [6 per cell]
Pd 0.0000 0.0000 0.5000 [1 per cell]

***

3.
The following is a calculated X-ray diffraction stick pattern of CaAl2Pd2. It was derived from DFT lattice parameters and positions (PBE), using copper Kα.

Largest 10 diffraction maxima, by angle, 10° ≤ 2θ ≤ 90°:
d_spacing	2θ (°)	I (rel.)	(hkl)
5.420	16.35	18	1 1 0
3.428	25.99	58	2 1 0
2.980	29.99	27	0 0 1
2.424	37.09	55	3 1 0
2.249	40.09	100	2 1 1
1.916	47.44	13	4 0 0
1.880	48.41	23	3 1 1
1.807	50.51	11	3 3 0
1.284	73.77	25	5 2 1
1.269	74.80	13	3 1 2

Cell lengths 7.6655, 7.6655, 2.9798 Å; angles 90.00, 90.00, 90.00 degrees
Space group P4/mbm (No. 127)
Inequivalent atoms, fractional coordinates:
Ca 0.0000 0.0000 0.0000 [2 per cell]
Al 0.1425 0.3575 0.5000 [4 per cell]
Pd 0.1474 0.6474 0.0000 [4 per cell]

***

4.
The following is a calculated X-ray diffraction stick pattern of Ca3Al4Pd4. It was derived from DFT lattice parameters and positions (PBE), using copper Kα.

Largest 10 diffraction maxima, by angle, 10° ≤ 2θ ≤ 90°:
d_spacing	2θ (°)	I (rel.)	(hkl)
5.491	16.14	20	1 1 0
3.883	22.90	30	2 0 0
3.170	28.15	100	2 1 1
2.746	32.61	85	2 2 0
2.456	36.59	62	3 1 0
2.075	43.61	38	3 2 1
1.830	49.82	89	3 3 0
1.656	55.50	27	3 3 2
1.332	70.74	20	5 3 0
1.260	75.46	27	6 1 1

Cell lengths 7.7656, 7.7656, 7.7656 Å; angles 90.00, 90.00, 90.00 degrees
Space group I-43m (No. 217)
Inequivalent atoms, fractional coordinates:
Ca 0.0000 0.0000 0.5000 [6 per cell]
Al 0.1296 0.1296 0.8704 [8 per cell]
Pd 0.1885 0.1885 0.1885 [8 per cell]